No. 1
# Li3TaO4
Calculated X-ray diffraction stick pattern, λ = 1.5418 Å (Cu Kα). Input: a PBE-relaxed structure.
Intensities are scaled so that the largest is 100.

Structure:
```
Li3TaO4
1.0
4.2948 -4.3003 0.0000
4.2948 4.3003 0.0000
-4.2632 0.0000 8.3772
Li Ta O
12 4 16
Direct
0.0610 0.8552 0.8749 Li
0.0676 0.3073 0.8854 Li
0.1448 0.9390 0.6251 Li
0.1946 0.4425 0.6356 Li
0.3073 0.0676 0.3854 Li
0.4425 0.1946 0.1356 Li
0.5575 0.8054 0.8644 Li
0.6927 0.9324 0.6146 Li
0.8054 0.5575 0.3644 Li
0.8552 0.0610 0.3749 Li
0.9324 0.6927 0.1146 Li
0.9390 0.1448 0.1251 Li
0.2802 0.5619 0.3752 Ta
0.4381 0.7198 0.1248 Ta
0.5619 0.2802 0.8752 Ta
0.7198 0.4381 0.6248 Ta
0.0718 0.3213 0.3675 O
0.0784 0.8014 0.3825 O
0.1986 0.9216 0.1175 O
0.2118 0.4583 0.1384 O
0.3213 0.0718 0.8675 O
0.3330 0.5522 0.8884 O
0.4478 0.6670 0.6116 O
0.4583 0.2118 0.6384 O
0.5417 0.7882 0.3616 O
0.5522 0.3330 0.3883 O
0.6670 0.4478 0.1116 O
0.6787 0.9282 0.1325 O
0.7882 0.5417 0.8616 O
0.8014 0.0784 0.8825 O
0.9216 0.1986 0.6175 O
0.9282 0.6787 0.6325 O
```

Peak list (8 most intense, 2θ = 10–80°, sorted by position)
2θ (°)	I_rel
15.50	95
21.59	81
23.27	100
30.49	34
33.40	48
36.53	30
42.05	39
48.59	25

***

No. 2
# LiTaO3
Calculated X-ray diffraction stick pattern, λ = 1.5418 Å (Cu Kα). Input: a PBE-relaxed structure.
Intensities are scaled so that the largest is 100.

Structure:
```
LiTaO3
1.0
6.0495 0.0000 0.0000
0.0000 6.0495 0.0000
0.0000 0.0000 6.0495
Li Ta O
4 4 12
Direct
0.1253 0.3747 0.6253 Li
0.3747 0.6253 0.1253 Li
0.6253 0.1253 0.3747 Li
0.8747 0.8747 0.8747 Li
0.0843 0.9157 0.4157 Ta
0.4157 0.0843 0.9157 Ta
0.5843 0.5843 0.5843 Ta
0.9157 0.4157 0.0843 Ta
0.0069 0.7191 0.1509 O
0.1509 0.0069 0.7191 O
0.2191 0.3491 0.9931 O
0.2809 0.6509 0.4931 O
0.3491 0.9931 0.2191 O
0.4931 0.2809 0.6509 O
0.5069 0.7809 0.8491 O
0.6509 0.4931 0.2809 O
0.7191 0.1509 0.0069 O
0.7809 0.8491 0.5069 O
0.8491 0.5069 0.7809 O
0.9931 0.2191 0.3491 O
```

Peak list (8 most intense, 2θ = 10–80°, sorted by position)
2θ (°)	I_rel
20.77	88
25.50	84
33.11	100
44.95	23
47.53	44
54.71	24
56.96	53
63.39	26

***

No. 3
# Li3TaO4
Calculated X-ray diffraction stick pattern, λ = 1.5418 Å (Cu Kα). Input: a PBE-relaxed structure.
Intensities are scaled so that the largest is 100.

Structure:
```
Li3TaO4
1.0
6.5977 0.0000 0.0000
0.0000 5.6835 0.0000
0.0000 0.0000 5.0191
Li Ta O
6 2 8
Direct
0.0000 0.1828 0.0000 Li
0.2459 0.3385 0.5016 Li
0.2541 0.6615 0.0016 Li
0.5000 0.8172 0.5000 Li
0.7459 0.6615 0.0016 Li
0.7541 0.3385 0.5016 Li
0.0000 0.8358 0.4942 Ta
0.5000 0.1642 0.9942 Ta
0.0000 0.1511 0.6033 O
0.0000 0.8334 0.1209 O
0.2344 0.6762 0.6040 O
0.2656 0.3238 0.1040 O
0.5000 0.1666 0.6209 O
0.5000 0.8489 0.1033 O
0.7344 0.3238 0.1040 O
0.7656 0.6762 0.6040 O
```

Peak list (8 most intense, 2θ = 10–80°, sorted by position)
2θ (°)	I_rel
15.59	30
20.63	88
22.25	100
23.65	63
27.03	30
27.29	31
36.22	31
41.65	27

***

No. 4
# LiTa2O6
Calculated X-ray diffraction stick pattern, λ = 1.5418 Å (Cu Kα). Input: a PBE-relaxed structure.
Intensities are scaled so that the largest is 100.

Structure:
```
LiTa2O6
1.0
2.6508 1.5305 4.6720
-2.6508 1.5305 4.6720
0.0000 -3.0609 4.6720
Li Ta O
1 2 6
Direct
0.0000 0.0000 0.0000 Li
0.2176 0.2176 0.2176 Ta
0.7074 0.7074 0.7074 Ta
0.0218 0.8959 0.4466 O
0.3411 0.5749 0.9568 O
0.4466 0.0218 0.8959 O
0.5749 0.9568 0.3411 O
0.8959 0.4466 0.0218 O
0.9568 0.3411 0.5749 O
```

Peak list (8 most intense, 2θ = 10–80°, sorted by position)
2θ (°)	I_rel
23.16	100
32.13	35
33.81	28
41.39	14
47.34	18
52.19	24
54.47	19
59.44	14

***

No. 5
# Li2Ta2O3
Calculated X-ray diffraction stick pattern, λ = 1.5418 Å (Cu Kα). Input: a PBE-relaxed structure.
Intensities are scaled so that the largest is 100.

Structure:
```
Li2Ta2O3
1.0
4.9216 0.0000 0.0000
1.8729 4.5688 0.0000
0.7125 0.4729 8.3399
Li Ta O
4 4 6
Direct
0.0000 0.0000 0.0000 Li
0.2065 0.2488 0.2603 Li
0.4537 0.4509 0.5205 Li
0.7589 0.6946 0.7618 Li
0.1142 0.0394 0.6253 Ta
0.4111 0.3406 0.8955 Ta
0.5671 0.5810 0.1299 Ta
0.8734 0.8879 0.3892 Ta
0.2757 0.6100 0.3095 O
0.3728 0.6703 0.7358 O
0.4171 0.9871 0.0378 O
0.4660 0.0382 0.4811 O
0.7811 0.0823 0.7828 O
0.8443 0.1797 0.2113 O
```

Peak list (8 most intense, 2θ = 10–80°, sorted by position)
2θ (°)	I_rel
22.78	100
29.04	34
32.25	20
32.61	19
36.91	31
37.49	12
37.59	12
60.17	12

***

No. 6
# Li2Ta4O11
Calculated X-ray diffraction stick pattern, λ = 1.5418 Å (Cu Kα). Input: a PBE-relaxed structure.
Intensities are scaled so that the largest is 100.

Structure:
```
Li2Ta4O11
1.0
3.1387 1.8121 12.3029
-3.1387 1.8121 12.3029
0.0000 -3.6242 12.3029
Li Ta O
4 8 22
Direct
0.1478 0.1478 0.1478 Li
0.3522 0.3522 0.3522 Li
0.6478 0.6478 0.6478 Li
0.8522 0.8522 0.8522 Li
0.0000 0.0000 0.0000 Ta
0.1082 0.7500 0.3918 Ta
0.2500 0.6082 0.8918 Ta
0.3918 0.1082 0.7500 Ta
0.5000 0.5000 0.5000 Ta
0.6082 0.8918 0.2500 Ta
0.7500 0.3918 0.1082 Ta
0.8918 0.2500 0.6082 Ta
0.0068 0.4932 0.2500 O
0.0882 0.7442 0.2607 O
0.0931 0.0931 0.0931 O
0.2393 0.7558 0.4118 O
0.2442 0.5882 0.7607 O
0.2500 0.0068 0.4932 O
0.2558 0.7393 0.9118 O
0.2607 0.0882 0.7442 O
0.4069 0.4069 0.4069 O
0.4118 0.2393 0.7558 O
0.4932 0.2500 0.0068 O
0.5068 0.7500 0.9932 O
0.5882 0.7607 0.2442 O
0.5931 0.5931 0.5931 O
0.7393 0.9118 0.2558 O
0.7442 0.2607 0.0882 O
0.7500 0.9932 0.5068 O
0.7558 0.4118 0.2393 O
0.7607 0.2442 0.5882 O
0.9069 0.9069 0.9069 O
0.9118 0.2558 0.7393 O
0.9932 0.5068 0.7500 O
```

Peak list (8 most intense, 2θ = 10–80°, sorted by position)
2θ (°)	I_rel
14.40	68
17.00	56
29.03	43
29.37	100
32.01	68
36.03	37
50.35	31
59.18	33

***

What did the fifth record say?
# Li2Ta2O3
Calculated X-ray diffraction stick pattern, λ = 1.5418 Å (Cu Kα). Input: a PBE-relaxed structure.
Intensities are scaled so that the largest is 100.

Structure:
```
Li2Ta2O3
1.0
4.9216 0.0000 0.0000
1.8729 4.5688 0.0000
0.7125 0.4729 8.3399
Li Ta O
4 4 6
Direct
0.0000 0.0000 0.0000 Li
0.2065 0.2488 0.2603 Li
0.4537 0.4509 0.5205 Li
0.7589 0.6946 0.7618 Li
0.1142 0.0394 0.6253 Ta
0.4111 0.3406 0.8955 Ta
0.5671 0.5810 0.1299 Ta
0.8734 0.8879 0.3892 Ta
0.2757 0.6100 0.3095 O
0.3728 0.6703 0.7358 O
0.4171 0.9871 0.0378 O
0.4660 0.0382 0.4811 O
0.7811 0.0823 0.7828 O
0.8443 0.1797 0.2113 O
```

Peak list (8 most intense, 2θ = 10–80°, sorted by position)
2θ (°)	I_rel
22.78	100
29.04	34
32.25	20
32.61	19
36.91	31
37.49	12
37.59	12
60.17	12